No. 1
Computed XRD peak list
Compound: CdCo3Re6
Radiation: a wavelength of 1.5418 Å
Structure: DFT lattice parameters and positions (PBE)
Kinematic intensities with the Lorentz-polarization factor, no thermal factor.

Largest 10 diffraction maxima, sorted by position, 10° ≤ 2θ ≤ 90°:
| d [Å] | I/Imax |
| --- | --- |
| 4.604 | 22 |
| 3.482 | 100 |
| 3.363 | 49 |
| 2.950 | 33 |
| 2.302 | 35 |
| 2.251 | 37 |
| 2.202 | 21 |
| 1.920 | 33 |
| 1.851 | 34 |
| 1.475 | 20 |

Crystal structure
Cell lengths 6.741, 6.741, 6.741 Å; angles 117.80, 117.80, 93.85 degrees
Fractional positions:
Cd 0.000 0.000 0.000
Co 0.250 0.750 0.500
Co 0.500 0.500 0.000
Co 0.750 0.250 0.500
Re 0.000 0.350 0.350
Re 0.000 0.650 0.650
Re 0.273 0.273 0.000
Re 0.350 0.000 0.350
Re 0.650 0.000 0.650
Re 0.727 0.727 0.000

No. 2
Computed XRD peak list
Compound: Tm4Cd3Co2
Radiation: a wavelength of 1.5418 Å
Structure: DFT lattice parameters and positions (PBE)
Kinematic intensities with the Lorentz-polarization factor, no thermal factor.

Largest 10 diffraction maxima, sorted by position, 10° ≤ 2θ ≤ 90°:
| d [Å] | I/Imax |
| --- | --- |
| 2.813 | 50 |
| 2.798 | 16 |
| 2.642 | 26 |
| 2.603 | 100 |
| 2.556 | 100 |
| 2.499 | 18 |
| 2.435 | 31 |
| 1.807 | 31 |
| 1.560 | 25 |
| 1.445 | 24 |

Crystal structure
Cell lengths 7.305, 3.614, 7.933 Å; angles 90.00, 108.86, 90.00 degrees
Fractional positions:
Tm 0.094 0.000 0.224
Tm 0.397 0.000 0.684
Tm 0.603 0.000 0.316
Tm 0.906 0.000 0.776
Cd 0.000 0.500 0.500
Cd 0.293 0.500 0.001
Cd 0.707 0.500 0.999
Co 0.350 0.500 0.394
Co 0.650 0.500 0.606

No. 3
Computed XRD peak list
Compound: CsDyCdS3
Radiation: a wavelength of 1.5418 Å
Structure: DFT lattice parameters and positions (PBE)
Kinematic intensities with the Lorentz-polarization factor, no thermal factor.

Largest 10 diffraction maxima, sorted by position, 10° ≤ 2θ ≤ 90°:
| d [Å] | I/Imax |
| --- | --- |
| 3.680 | 36 |
| 3.465 | 31 |
| 3.344 | 70 |
| 3.082 | 100 |
| 2.823 | 48 |
| 2.301 | 17 |
| 2.126 | 28 |
| 2.075 | 22 |
| 2.040 | 32 |
| 1.672 | 19 |

Crystal structure
Cell lengths 8.900, 8.900, 9.222 Å; angles 101.57, 101.57, 26.96 degrees
Fractional positions:
Cs 0.153 0.153 0.057
Cs 0.847 0.847 0.943
Dy 0.166 0.166 0.571
Dy 0.834 0.834 0.429
Cd 0.499 0.499 0.280
Cd 0.501 0.501 0.720
S 0.000 0.000 0.500
S 0.331 0.331 0.630
S 0.345 0.345 0.246
S 0.500 0.500 0.000
S 0.655 0.655 0.754
S 0.669 0.669 0.370

No. 4
Computed XRD peak list
Compound: Cs3Cd2F7
Radiation: a wavelength of 1.5418 Å
Structure: DFT lattice parameters and positions (PBE)
Kinematic intensities with the Lorentz-polarization factor, no thermal factor.

Largest 10 diffraction maxima, sorted by position, 10° ≤ 2θ ≤ 90°:
| d [Å] | I/Imax |
| --- | --- |
| 3.205 | 100 |
| 3.135 | 59 |
| 2.319 | 15 |
| 2.217 | 35 |
| 1.864 | 19 |
| 1.823 | 40 |
| 1.602 | 18 |
| 1.567 | 11 |
| 1.402 | 10 |
| 1.189 | 10 |

Crystal structure
Cell lengths 12.010, 12.010, 12.010 Å; angles 158.73, 158.73, 30.26 degrees
Fractional positions:
Cs 0.000 0.000 0.000
Cs 0.186 0.186 0.000
Cs 0.814 0.814 0.000
Cd 0.404 0.404 0.000
Cd 0.596 0.596 0.000
F 0.095 0.595 0.500
F 0.308 0.308 0.000
F 0.405 0.905 0.500
F 0.500 0.500 0.000
F 0.595 0.095 0.500
F 0.692 0.692 0.000
F 0.905 0.405 0.500